[1]
Calculated XRD peak list
Compound: SrCdO3
Radiation: λ = 1.5418 Å (Cu Kα)
Structure: a PBE-relaxed structure
Kinematic intensities with the Lorentz-polarization factor, no thermal factor.

Largest 12 diffraction maxima, by angle, 15° ≤ 2θ ≤ 90°:
d = 3.836 Å, 2θ = 23.19°, I 6.7, (0 2 0); d = 3.155 Å, 2θ = 28.29°, I 18.4, (2 0 0); d = 3.133 Å, 2θ = 28.49°, I 18.3, (0 0 2); d = 2.902 Å, 2θ = 30.81°, I 100.0, (1 2 1); d = 2.223 Å, 2θ = 40.58°, I 30.0, (2 0 2); d = 1.915 Å, 2θ = 47.48°, I 7.1, (0 4 0); d = 1.769 Å, 2θ = 51.69°, I 20.2, (3 2 1); d = 1.761 Å, 2θ = 51.93°, I 21.8, (1 2 3); d = 1.637 Å, 2θ = 56.19°, I 9.7, (2 4 0); d = 1.634 Å, 2θ = 56.30°, I 9.6, (0 4 2); d = 1.451 Å, 2θ = 64.19°, I 9.3, (2 4 2); d = 1.382 Å, 2θ = 67.81°, I 6.9, (3 2 3)

Cell and atoms:
```
data_SrCdO3
_chemical_formula_sum 'Sr4 Cd4 O12'
_cell_length_a 6.309
_cell_length_b 7.660
_cell_length_c 6.266
_cell_angle_alpha 90.00
_cell_angle_beta 90.00
_cell_angle_gamma 90.00
_symmetry_space_group_name_H-M 'P n m a'
_symmetry_Int_Tables_number 62
loop_
_symmetry_equiv_pos_as_xyz
'x,y,z'
'-x,-y,-z'
'-x+1/2,-y,z+1/2'
'x+1/2,y,-z+1/2'
'x+1/2,-y+1/2,-z+1/2'
'-x+1/2,y+1/2,z+1/2'
'-x,y+1/2,-z'
'x,-y+1/2,z'
loop_
_atom_site_label
_atom_site_fract_x
_atom_site_fract_y
_atom_site_fract_z
Sr1 0.000 0.000 0.000
Cd1 0.032 0.250 0.476
O1 0.174 0.750 0.806
O2 0.221 0.650 0.283
```

[2]
Calculated XRD peak list
Compound: Sr2Cd3O5
Radiation: λ = 1.5418 Å (Cu Kα)
Structure: a PBE-relaxed structure
Kinematic intensities with the Lorentz-polarization factor, no thermal factor.

Largest 12 diffraction maxima, by angle, 15° ≤ 2θ ≤ 90°:
d = 3.004 Å, 2θ = 29.75°, I 92.1, (0 1 5); d = 2.681 Å, 2θ = 33.43°, I 100.0, (1 1 0); d = 2.577 Å, 2θ = 34.81°, I 94.0, (1 0 5); d = 2.242 Å, 2θ = 40.22°, I 42.3, (0 2 0); d = 2.022 Å, 2θ = 44.82°, I 22.4, (0 0 10); d = 1.692 Å, 2θ = 54.22°, I 50.3, (1 2 5); d = 1.672 Å, 2θ = 54.91°, I 16.0, (2 0 0); d = 1.614 Å, 2θ = 57.05°, I 29.6, (1 1 10); d = 1.502 Å, 2θ = 61.77°, I 16.1, (0 2 10); d = 1.461 Å, 2θ = 63.70°, I 21.9, (2 1 5); d = 1.340 Å, 2θ = 70.22°, I 14.6, (2 2 0); d = 1.117 Å, 2θ = 87.26°, I 12.0, (2 2 10)

Cell and atoms:
```
data_Sr2Cd3O5
_chemical_formula_sum 'Sr4 Cd6 O10'
_cell_length_a 3.344
_cell_length_b 4.485
_cell_length_c 20.224
_cell_angle_alpha 90.00
_cell_angle_beta 90.00
_cell_angle_gamma 90.00
_symmetry_space_group_name_H-M 'I m m m'
_symmetry_Int_Tables_number 71
_symmetry_space_group_name_Hall '-I 2 2'
loop_
_atom_site_label
_atom_site_fract_x
_atom_site_fract_y
_atom_site_fract_z
Sr1 0.000 0.000 0.102
Cd1 0.000 0.000 0.286
Cd2 0.000 0.000 0.500
O1 0.000 0.000 0.394
O2 0.000 0.500 0.294
O3 0.000 0.500 0.500
```

[3]
Calculated XRD peak list
Compound: Sr3Cd2O5
Radiation: λ = 1.5418 Å (Cu Kα)
Structure: a PBE-relaxed structure
Kinematic intensities with the Lorentz-polarization factor, no thermal factor.

Largest 12 diffraction maxima, by angle, 15° ≤ 2θ ≤ 90°:
d = 3.075 Å, 2θ = 29.04°, I 91.7, (0 1 5); d = 2.687 Å, 2θ = 33.35°, I 87.5, (1 0 5); d = 2.654 Å, 2θ = 33.77°, I 100.0, (1 1 0); d = 2.211 Å, 2θ = 40.82°, I 33.4, (0 0 10); d = 2.140 Å, 2θ = 42.23°, I 33.4, (0 2 0); d = 1.699 Å, 2θ = 53.98°, I 44.8, (1 1 10); d = 1.691 Å, 2θ = 54.23°, I 15.3, (2 0 0); d = 1.674 Å, 2θ = 54.85°, I 41.4, (1 2 5); d = 1.538 Å, 2θ = 60.18°, I 19.7, (0 2 10); d = 1.482 Å, 2θ = 62.69°, I 21.7, (2 1 5); d = 1.327 Å, 2θ = 71.04°, I 13.0, (2 2 0); d = 1.138 Å, 2θ = 85.31°, I 14.3, (2 2 10)

Cell and atoms:
```
data_Sr3Cd2O5
_chemical_formula_sum 'Sr6 Cd4 O10'
_cell_length_a 3.383
_cell_length_b 4.280
_cell_length_c 22.107
_cell_angle_alpha 90.00
_cell_angle_beta 90.00
_cell_angle_gamma 90.00
_symmetry_space_group_name_H-M 'I m m m'
_symmetry_Int_Tables_number 71
_symmetry_space_group_name_Hall '-I 2 2'
loop_
_atom_site_label
_atom_site_fract_x
_atom_site_fract_y
_atom_site_fract_z
Sr1 0.000 0.000 0.000
Sr2 0.000 0.000 0.191
Cd1 0.000 0.000 0.400
O1 0.000 0.000 0.300
O2 0.000 0.000 0.500
O3 0.000 0.500 0.403
```

[4]
Calculated XRD peak list
Compound: Sr2CdO3
Radiation: λ = 1.5418 Å (Cu Kα)
Structure: a PBE-relaxed structure
Kinematic intensities with the Lorentz-polarization factor, no thermal factor.

Largest 12 diffraction maxima, by angle, 15° ≤ 2θ ≤ 90°:
d = 2.901 Å, 2θ = 30.82°, I 75.0, (1 0 1); d = 2.821 Å, 2θ = 31.72°, I 22.7, (0 0 3); d = 2.495 Å, 2θ = 36.00°, I 100.0, (0 1 2); d = 1.783 Å, 2θ = 51.24°, I 34.1, (1 1 0); d = 1.745 Å, 2θ = 52.42°, I 31.0, (1 0 4); d = 1.519 Å, 2θ = 61.00°, I 11.2, (0 2 1); d = 1.507 Å, 2θ = 61.53°, I 21.4, (1 1 3); d = 1.484 Å, 2θ = 62.58°, I 11.1, (0 1 5); d = 1.451 Å, 2θ = 64.21°, I 16.7, (2 0 2); d = 1.156 Å, 2θ = 83.63°, I 9.7, (2 1 1); d = 1.125 Å, 2θ = 86.48°, I 18.6, (1 2 2); d = 1.106 Å, 2θ = 88.36°, I 12.3, (1 1 6)

Cell and atoms:
```
data_Sr2CdO3
_chemical_formula_sum 'Sr2 Cd1 O3'
_cell_length_a 3.5660
_cell_length_b 3.5660
_cell_length_c 8.4628
_cell_angle_alpha 90.00
_cell_angle_beta 90.00
_cell_angle_gamma 120.00
_symmetry_space_group_name_H-M 'P -3 m 1'
_symmetry_Int_Tables_number 164
_symmetry_space_group_name_Hall '-P 3 2"'
loop_
_atom_site_label
_atom_site_fract_x
_atom_site_fract_y
_atom_site_fract_z
Sr1 0.3333 0.6667 0.1778
Cd1 0.0000 0.0000 0.5000
O1 0.0000 0.0000 0.0000
O2 0.3333 0.6667 0.6530
```